# 1
Computed X-ray powder pattern
Compound: CsAg3Se2
Radiation: Cu Kα (λ = 1.5418 Å)
Structure: DFT lattice parameters and positions (PBE)
Kinematic intensities with the Lorentz-polarization factor, no thermal factor.

Atomic structure:
```
data_CsAg3Se2
_chemical_formula_sum 'Cs4 Ag12 Se8'
_space_group_name_H-M_alt 'C 1 2/m 1'
_space_group_IT_number 12
_cell_length_a 16.9233
_cell_length_b 4.4922
_cell_length_c 9.3603
_cell_angle_alpha 90.00
_cell_angle_beta 112.62
_cell_angle_gamma 90.00
loop_
_space_group_symop_operation_xyz
'x,y,z'
'-x,-y,-z'
'-x,y,-z'
'x,-y,z'
'x+1/2,y+1/2,z'
'-x+1/2,-y+1/2,-z'
'-x+1/2,y+1/2,-z'
'x+1/2,-y+1/2,z'
loop_
_atom_site_label
_atom_site_type_symbol
_atom_site_fract_x
_atom_site_fract_y
_atom_site_fract_z
Cs1 Cs 0.1369 0.0000 0.0480
Ag1 Ag 0.0578 0.0000 0.4035
Ag2 Ag 0.0899 0.5000 0.6363
Ag3 Ag 0.1884 0.5000 0.4370
Se1 Se 0.0216 0.5000 0.2295
Se2 Se 0.1939 0.0000 0.6843
```

Top 8 peaks for 10 to 80 degrees two-theta, in order of rising 2θ:
| 2theta | I_rel | index |
| --- | --- | --- |
| 10.24 | 100 | 0 0 1 |
| 27.61 | 40 | 1 1 -2 |
| 30.57 | 98 | 3 1 1 |
| 34.58 | 62 | 5 1 -2 |
| 37.54 | 39 | 3 1 2 |
| 40.15 | 52 | 0 2 0 |
| 43.40 | 33 | 8 0 -1 |
| 46.13 | 27 | 3 1 3 |

***

# 2
Computed X-ray powder pattern
Compound: Li3Nb
Radiation: Cu Kα (λ = 1.5418 Å)
Structure: DFT lattice parameters and positions (PBE)
Kinematic intensities with the Lorentz-polarization factor, no thermal factor.

Atomic structure:
```
data_Li3Nb
_chemical_formula_sum 'Li12 Nb4'
_space_group_name_H-M_alt 'F m -3 m'
_space_group_IT_number 225
_space_group_name_Hall '-F 4 2 3'
_cell_length_a 6.3506
_cell_length_b 6.3506
_cell_length_c 6.3506
_cell_angle_alpha 90.00
_cell_angle_beta 90.00
_cell_angle_gamma 90.00
loop_
_atom_site_label
_atom_site_type_symbol
_atom_site_fract_x
_atom_site_fract_y
_atom_site_fract_z
Li1 Li 0.0000 0.0000 0.0000
Li2 Li 0.2500 0.2500 0.2500
Nb1 Nb 0.0000 0.0000 0.5000
```

Top 8 peaks for 10 to 80 degrees two-theta, in order of rising 2θ:
| 2theta | I_rel | index |
| --- | --- | --- |
| 24.28 | 100 | 1 1 1 |
| 28.10 | 52 | 2 0 0 |
| 40.16 | 58 | 2 2 0 |
| 47.48 | 47 | 3 1 1 |
| 63.89 | 19 | 3 3 1 |
| 65.76 | 17 | 4 2 0 |
| 72.98 | 19 | 4 2 2 |
| 78.21 | 14 | 5 1 1 |

***

# 3
Computed X-ray powder pattern
Compound: Co2B4Mo
Radiation: Cu Kα (λ = 1.5418 Å)
Structure: DFT lattice parameters and positions (PBE)
Kinematic intensities with the Lorentz-polarization factor, no thermal factor.

Atomic structure:
```
data_Co2B4Mo
_chemical_formula_sum 'Co4 B8 Mo2'
_space_group_name_H-M_alt 'I m m m'
_space_group_IT_number 71
_space_group_name_Hall '-I 2 2'
_cell_length_a 3.0282
_cell_length_b 3.0711
_cell_length_c 12.4598
_cell_angle_alpha 90.00
_cell_angle_beta 90.00
_cell_angle_gamma 90.00
loop_
_atom_site_label
_atom_site_type_symbol
_atom_site_fract_x
_atom_site_fract_y
_atom_site_fract_z
Co1 Co 0.0000 0.0000 0.1856
B1 B 0.0000 0.0000 0.3484
B2 B 0.0000 0.5000 0.0750
Mo1 Mo 0.0000 0.5000 0.5000
```

Top 8 peaks for 10 to 80 degrees two-theta, in order of rising 2θ:
| 2theta | I_rel | index |
| --- | --- | --- |
| 29.97 | 58 | 0 1 1 |
| 36.73 | 88 | 1 0 3 |
| 43.58 | 25 | 0 0 6 |
| 44.46 | 100 | 1 1 2 |
| 46.96 | 52 | 0 1 5 |
| 60.29 | 28 | 0 2 0 |
| 72.70 | 22 | 1 2 3 |
| 75.27 | 22 | 1 1 8 |

***

# 4
Computed X-ray powder pattern
Compound: Ti3Cu3O
Radiation: Cu Kα (λ = 1.5418 Å)
Structure: DFT lattice parameters and positions (PBE)
Kinematic intensities with the Lorentz-polarization factor, no thermal factor.

Atomic structure:
Cell lengths 11.2390, 11.2390, 11.2390 Å; angles 90.00, 90.00, 90.00 degrees
Space group Fd-3m (No. 227, origin choice 2)
Asymmetric unit:
1 Ti 0.0608 0.3750 0.3750 [48 per cell]
2 Cu 0.0000 0.0000 0.5000 [16 per cell]
3 Cu 0.0403 0.0403 0.7097 [32 per cell]
4 O 0.0000 0.0000 0.0000 [16 per cell]

Top 8 peaks for 10 to 80 degrees two-theta, in order of rising 2θ:
| 2theta | I_rel | index |
| --- | --- | --- |
| 13.65 | 17 | 1 1 1 |
| 31.85 | 7 | 4 0 0 |
| 39.27 | 25 | 4 2 2 |
| 41.76 | 100 | 3 3 3 |
| 45.66 | 31 | 4 4 0 |
| 48.61 | 14 | 4 4 2 |
| 54.13 | 8 | 6 2 2 |
| 71.19 | 25 | 6 6 0 |

***

# 5
Computed X-ray powder pattern
Compound: Sm8MgTi4O20
Radiation: Cu Kα (λ = 1.5418 Å)
Structure: DFT lattice parameters and positions (PBE)
Kinematic intensities with the Lorentz-polarization factor, no thermal factor.

Atomic structure:
```
data_Sm8MgTi4O20
_chemical_formula_sum 'Sm8 Mg1 Ti4 O20'
_space_group_name_H-M_alt 'P 1 m 1'
_space_group_IT_number 6
_cell_length_a 7.8747
_cell_length_b 3.6461
_cell_length_c 16.1725
_cell_angle_alpha 90.00
_cell_angle_beta 92.63
_cell_angle_gamma 90.00
loop_
_space_group_symop_operation_xyz
'x,y,z'
'x,-y,z'
loop_
_atom_site_label
_atom_site_type_symbol
_atom_site_fract_x
_atom_site_fract_y
_atom_site_fract_z
Sm1 Sm 0.0000 0.0000 0.0000
Sm2 Sm 0.0109 0.0000 0.6747
Sm3 Sm 0.2822 0.5000 0.1875
Sm4 Sm 0.2985 0.5000 0.8663
Sm5 Sm 0.5137 0.0000 0.7077
Sm6 Sm 0.5363 0.0000 0.3431
Sm7 Sm 0.7914 0.5000 0.1657
Sm8 Sm 0.8413 0.5000 0.4900
Mg1 Mg 0.5306 0.0000 0.5295
Ti1 Ti 0.0392 0.0000 0.3440
Ti2 Ti 0.2596 0.5000 0.5060
Ti3 Ti 0.5070 0.0000 0.0186
Ti4 Ti 0.7959 0.5000 0.8467
O1 O 0.0136 0.5000 0.9113
O2 O 0.0488 0.5000 0.0964
O3 O 0.0755 0.5000 0.5852
O4 O 0.0799 0.5000 0.3921
O5 O 0.2553 0.0000 0.7620
O6 O 0.2611 0.0000 0.2802
O7 O 0.2886 0.0000 0.9507
O8 O 0.2968 0.0000 0.4752
O9 O 0.4000 0.0000 0.1159
O10 O 0.4392 0.5000 0.6065
O11 O 0.5337 0.5000 0.9801
O12 O 0.5482 0.5000 0.4484
O13 O 0.5531 0.5000 0.7918
O14 O 0.5652 0.5000 0.2564
O15 O 0.7431 0.0000 0.0764
O16 O 0.7586 0.0000 0.5856
O17 O 0.7663 0.0000 0.8839
O18 O 0.8202 0.0000 0.4055
O19 O 0.8912 0.5000 0.7440
O20 O 0.9133 0.0000 0.2449
```

Top 8 peaks for 10 to 80 degrees two-theta, in order of rising 2θ:
| 2theta | I_rel | index |
| --- | --- | --- |
| 27.46 | 59 | 2 0 -3 |
| 28.71 | 54 | 2 0 3 |
| 29.59 | 100 | 0 1 3 |
| 33.27 | 21 | 0 0 6 |
| 33.51 | 51 | 2 1 0 |
| 47.15 | 24 | 2 1 -6 |
| 48.74 | 26 | 2 1 6 |
| 50.04 | 22 | 0 2 0 |

***

# 6
Computed X-ray powder pattern
Compound: CaAg2O4
Radiation: Cu Kα (λ = 1.5418 Å)
Structure: DFT lattice parameters and positions (PBE)
Kinematic intensities with the Lorentz-polarization factor, no thermal factor.

Atomic structure:
```
data_CaAg2O4
_chemical_formula_sum 'Ca2 Ag4 O8'
_space_group_name_H-M_alt 'P -1'
_space_group_IT_number 2
_cell_length_a 3.8766
_cell_length_b 7.0978
_cell_length_c 8.3342
_cell_angle_alpha 97.08
_cell_angle_beta 98.16
_cell_angle_gamma 105.53
loop_
_space_group_symop_operation_xyz
'x,y,z'
'-x,-y,-z'
loop_
_atom_site_label
_atom_site_type_symbol
_atom_site_fract_x
_atom_site_fract_y
_atom_site_fract_z
Ca1 Ca 0.1930 0.1410 0.3196
Ag1 Ag 0.1595 0.4576 0.6715
Ag2 Ag 0.4077 0.1916 0.9755
O1 O 0.0641 0.2156 0.7752
O2 O 0.2052 0.6950 0.5393
O3 O 0.3770 0.9272 0.8367
O4 O 0.3777 0.4017 0.1614
```

Top 8 peaks for 10 to 80 degrees two-theta, in order of rising 2θ:
| 2theta | I_rel | index |
| --- | --- | --- |
| 15.59 | 41 | 0 1 -1 |
| 18.47 | 41 | 0 1 1 |
| 24.71 | 100 | 1 0 -1 |
| 25.47 | 40 | -1 1 1 |
| 30.37 | 56 | 0 2 1 |
| 30.93 | 44 | 1 1 0 |
| 31.49 | 66 | 0 2 -2 |
| 33.05 | 42 | 0 0 3 |